The following is a simulated powder XRD pattern of RbP. It was derived from the PBE geometry in Alexandria, using Cu Kα.
Lines closer than 0.1° are merged.

Top 10 peaks for 15 to 90 degrees two-theta, most intense first:
21.58°, intensity 100, hkl 1 1 1
26.75°, intensity 69, hkl 2 1 0
38.39°, intensity 50, hkl 2 1 2
27.02°, intensity 47, hkl 0 0 2
23.88°, intensity 28, hkl 2 0 0
40.65°, intensity 28, hkl 3 1 1
38.73°, intensity 23, hkl 3 0 1
16.82°, intensity 23, hkl 1 1 0
46.01°, intensity 22, hkl 3 2 1
30.04°, intensity 20, hkl 2 1 1

Structure:
Cell: 7.452 7.452 6.600 Å, 90.00 90.00 90.00°
Space group P4_2/mnm (No. 136)
Inequivalent atoms, fractional coordinates:
Rb  0.194  0.194  0.000 [4 per cell]
P  0.099  0.099  0.500 [4 per cell]